[1]
Structure and computed powder diffraction line list of CaCO3 (a PBE-relaxed structure; Cu Kα, 1.54184 Å).
Peak positions follow from Bragg's law for the DFT cell and can differ from measured ones.

Lattice parameters (Å, degrees): 5.812 5.016 8.035 90.00 90.00 90.00
Fractional coordinates of all 20 atoms:
Ca: 0.241 0.250 0.085
Ca: 0.259 0.750 0.585
Ca: 0.741 0.250 0.415
Ca: 0.759 0.750 0.915
C: 0.084 0.250 0.738
C: 0.416 0.750 0.238
C: 0.584 0.250 0.762
C: 0.916 0.750 0.262
O: 0.086 0.026 0.820
O: 0.086 0.474 0.820
O: 0.093 0.250 0.577
O: 0.407 0.750 0.077
O: 0.414 0.526 0.320
O: 0.414 0.974 0.320
O: 0.586 0.026 0.680
O: 0.586 0.474 0.680
O: 0.593 0.250 0.923
O: 0.907 0.750 0.423
O: 0.914 0.526 0.180
O: 0.914 0.974 0.180

The 10 most intense peaks (10° ≤ 2θ ≤ 90°), by angle:
- 25.95°, intensity 100
- 26.98°, intensity 56
- 32.77°, intensity 55
- 35.74°, intensity 47
- 37.48°, intensity 44
- 38.09°, intensity 29
- 45.40°, intensity 77
- 47.91°, intensity 54
- 49.74°, intensity 33
- 51.85°, intensity 35

[2]
Structure and computed powder diffraction line list of TmNi2 (a PBE-relaxed structure; Cu Kα, 1.54184 Å).
Peak positions follow from Bragg's law for the DFT cell and can differ from measured ones.

Lattice parameters (Å, degrees): 5.027 5.027 5.027 60.00 60.00 60.00
Fractional coordinates of all 6 atoms:
Tm: 0.125 0.125 0.125
Tm: 0.875 0.875 0.875
Ni: 0.000 0.500 0.500
Ni: 0.500 0.000 0.500
Ni: 0.500 0.500 0.000
Ni: 0.500 0.500 0.500

The 10 most intense peaks (10° ≤ 2θ ≤ 90°), by angle:
- 21.65°, intensity 15
- 35.72°, intensity 66
- 42.16°, intensity 100
- 44.13°, intensity 14
- 56.42°, intensity 4
- 64.18°, intensity 24
- 68.60°, intensity 30
- 75.68°, intensity 22
- 79.82°, intensity 3
- 86.61°, intensity 11

[3]
Structure and computed powder diffraction line list of SbTeOs (a PBE-relaxed structure; Cu Kα, 1.54184 Å).
Peak positions follow from Bragg's law for the DFT cell and can differ from measured ones.

Lattice parameters (Å, degrees): 6.695 6.597 6.775 90.00 113.83 90.00
Fractional coordinates of all 12 atoms:
Sb: 0.140 0.140 0.386
Sb: 0.140 0.360 0.886
Sb: 0.860 0.640 0.114
Sb: 0.860 0.860 0.614
Te: 0.347 0.635 0.683
Te: 0.347 0.865 0.183
Te: 0.653 0.135 0.817
Te: 0.653 0.365 0.317
Os: 0.276 0.002 0.796
Os: 0.276 0.498 0.296
Os: 0.724 0.502 0.704
Os: 0.724 0.998 0.204

The 10 most intense peaks (10° ≤ 2θ ≤ 90°), by angle:
- 20.71°, intensity 100
- 28.81°, intensity 56
- 29.16°, intensity 65
- 31.42°, intensity 92
- 31.91°, intensity 47
- 32.23°, intensity 55
- 42.41°, intensity 48
- 42.91°, intensity 75
- 44.21°, intensity 42
- 48.22°, intensity 77

[4]
Structure and computed powder diffraction line list of Nb3Tl (a PBE-relaxed structure; Cu Kα, 1.54184 Å).
Peak positions follow from Bragg's law for the DFT cell and can differ from measured ones.

Lattice parameters (Å, degrees): 5.363 5.363 5.363 90.00 90.00 90.00
Fractional coordinates of all 8 atoms:
Nb: 0.000 0.250 0.500
Nb: 0.000 0.750 0.500
Nb: 0.250 0.500 0.000
Nb: 0.500 0.000 0.250
Nb: 0.500 0.000 0.750
Nb: 0.750 0.500 0.000
Tl: 0.000 0.000 0.000
Tl: 0.500 0.500 0.500

The 10 most intense peaks (10° ≤ 2θ ≤ 90°), by angle:
- 23.46°, intensity 25
- 33.42°, intensity 44
- 37.50°, intensity 54
- 41.23°, intensity 100
- 62.44°, intensity 12
- 65.08°, intensity 52
- 70.20°, intensity 14
- 80.01°, intensity 15
- 82.41°, intensity 11
- 84.79°, intensity 13

[5]
Structure and computed powder diffraction line list of K4Bi2O5 (a PBE-relaxed structure; Cu Kα, 1.54184 Å).
Peak positions follow from Bragg's law for the DFT cell and can differ from measured ones.

Lattice parameters (Å, degrees): 5.824 9.744 9.959 106.63 105.14 106.72
Fractional coordinates of all 22 atoms:
K: 0.100 0.009 0.185
K: 0.110 0.702 0.544
K: 0.128 0.378 0.866
K: 0.377 0.785 0.951
K: 0.623 0.215 0.049
K: 0.872 0.622 0.134
K: 0.890 0.298 0.456
K: 0.900 0.991 0.815
Bi: 0.363 0.457 0.270
Bi: 0.401 0.116 0.626
Bi: 0.599 0.884 0.374
Bi: 0.637 0.543 0.730
O: 0.148 0.248 0.080
O: 0.243 0.885 0.391
O: 0.269 0.541 0.698
O: 0.371 0.994 0.765
O: 0.382 0.627 0.170
O: 0.618 0.373 0.830
O: 0.629 0.006 0.235
O: 0.731 0.459 0.302
O: 0.757 0.115 0.609
O: 0.852 0.752 0.920

The 10 most intense peaks (10° ≤ 2θ ≤ 90°), by angle:
- 17.14°, intensity 42
- 18.63°, intensity 43
- 19.12°, intensity 36
- 20.28°, intensity 30
- 27.72°, intensity 52
- 28.64°, intensity 100
- 29.13°, intensity 46
- 30.73°, intensity 63
- 34.06°, intensity 50
- 34.31°, intensity 50

[6]
Structure and computed powder diffraction line list of BaMnS2 (a PBE-relaxed structure; Cu Kα, 1.54184 Å).
Peak positions follow from Bragg's law for the DFT cell and can differ from measured ones.

Lattice parameters (Å, degrees): 7.195 4.160 14.024 90.00 90.00 90.00
Fractional coordinates of all 16 atoms:
Ba: 0.207 0.250 0.128
Ba: 0.293 0.750 0.628
Ba: 0.707 0.250 0.372
Ba: 0.793 0.750 0.872
Mn: 0.232 0.750 0.364
Mn: 0.268 0.250 0.864
Mn: 0.732 0.750 0.136
Mn: 0.768 0.250 0.636
S: 0.031 0.250 0.741
S: 0.238 0.750 0.952
S: 0.262 0.250 0.452
S: 0.469 0.750 0.241
S: 0.531 0.250 0.759
S: 0.738 0.750 0.548
S: 0.762 0.250 0.048
S: 0.969 0.750 0.259

The 10 most intense peaks (10° ≤ 2θ ≤ 90°), by angle:
- 24.75°, intensity 48
- 25.40°, intensity 30
- 25.54°, intensity 56
- 28.73°, intensity 30
- 31.36°, intensity 100
- 35.76°, intensity 42
- 40.78°, intensity 25
- 43.51°, intensity 22
- 52.23°, intensity 32
- 57.54°, intensity 22

[7]
Structure and computed powder diffraction line list of TiH2 (a PBE-relaxed structure; Cu Kα, 1.54184 Å).
Peak positions follow from Bragg's law for the DFT cell and can differ from measured ones.

Lattice parameters (Å, degrees): 2.921 2.921 4.868 90.00 90.00 90.00
Fractional coordinates of all 6 atoms:
Ti: 0.250 0.250 0.236
Ti: 0.750 0.750 0.764
H: 0.250 0.250 0.846
H: 0.250 0.750 0.500
H: 0.750 0.250 0.500
H: 0.750 0.750 0.154

The 10 most intense peaks (10° ≤ 2θ ≤ 90°), by angle:
- 35.86°, intensity 100
- 36.93°, intensity 23
- 43.84°, intensity 29
- 48.70°, intensity 1
- 58.62°, intensity 22
- 63.73°, intensity 9
- 65.84°, intensity 14
- 75.34°, intensity 19
- 76.00°, intensity 9
- 78.61°, intensity 2

[8]
Structure and computed powder diffraction line list of FeNi (a PBE-relaxed structure; Cu Kα, 1.54184 Å).
Peak positions follow from Bragg's law for the DFT cell and can differ from measured ones.

Lattice parameters (Å, degrees): 4.380 4.380 4.380 33.38 33.38 33.38
Fractional coordinates of all 2 atoms:
Fe: 0.000 0.000 0.000
Ni: 0.500 0.500 0.500

The 5 most intense peaks (10° ≤ 2θ ≤ 90°), by angle:
- 43.82°, intensity 34
- 44.06°, intensity 100
- 51.26°, intensity 62
- 75.26°, intensity 18
- 75.59°, intensity 18

[9]
Structure and computed powder diffraction line list of Mn3C (a PBE-relaxed structure; Cu Kα, 1.54184 Å).
Peak positions follow from Bragg's law for the DFT cell and can differ from measured ones.

Lattice parameters (Å, degrees): 4.939 6.704 4.437 90.00 90.00 90.00
Fractional coordinates of all 16 atoms:
Mn: 0.031 0.250 0.160
Mn: 0.185 0.066 0.658
Mn: 0.185 0.434 0.658
Mn: 0.315 0.566 0.158
Mn: 0.315 0.934 0.158
Mn: 0.469 0.750 0.660
Mn: 0.531 0.250 0.340
Mn: 0.685 0.066 0.842
Mn: 0.685 0.434 0.842
Mn: 0.815 0.566 0.342
Mn: 0.815 0.934 0.342
Mn: 0.969 0.750 0.840
C: 0.122 0.750 0.434
C: 0.378 0.250 0.934
C: 0.622 0.750 0.066
C: 0.878 0.250 0.566

The 10 most intense peaks (10° ≤ 2θ ≤ 90°), by angle:
- 38.27°, intensity 29
- 44.09°, intensity 61
- 44.79°, intensity 59
- 45.44°, intensity 100
- 45.63°, intensity 61
- 46.90°, intensity 52
- 49.24°, intensity 38
- 50.29°, intensity 38
- 52.85°, intensity 24
- 85.26°, intensity 42

[10]
Structure and computed powder diffraction line list of Co4Ru (a PBE-relaxed structure; Cu Kα, 1.54184 Å).
Peak positions follow from Bragg's law for the DFT cell and can differ from measured ones.

Lattice parameters (Å, degrees): 10.387 10.387 10.387 14.20 14.20 14.20
Fractional coordinates of all 5 atoms:
Co: 0.097 0.097 0.097
Co: 0.301 0.301 0.301
Co: 0.699 0.699 0.699
Co: 0.903 0.903 0.903
Ru: 0.500 0.500 0.500

The 10 most intense peaks (10° ≤ 2θ ≤ 90°), by angle:
- 17.25°, intensity 4
- 26.00°, intensity 3
- 34.91°, intensity 3
- 43.25°, intensity 100
- 44.04°, intensity 31
- 45.70°, intensity 2
- 50.61°, intensity 61
- 73.81°, intensity 19
- 74.94°, intensity 17
- 89.59°, intensity 11